# Mn8O13F3
Theoretical X-ray powder pattern, Cu Kα. Input: a crystal structure in the Materials Project, relaxed with PBE+U.
No peak broadening, texture or thermal motion is included.

```
data_Mn8O13F3
_symmetry_space_group_name_H-M 'P 1'
_symmetry_Int_Tables_number 1
_cell_length_a 6.720
_cell_length_b 6.740
_cell_length_c 7.011
_cell_angle_alpha 114.27
_cell_angle_beta 114.25
_cell_angle_gamma 95.77
loop_
_symmetry_equiv_pos_as_xyz
'x,y,z'
loop_
_atom_site_label
_atom_site_fract_x
_atom_site_fract_y
_atom_site_fract_z
_atom_site_occupancy
Mn1 0.000 0.000 0.000 1
Mn2 0.009 0.993 0.496 1
Mn3 0.100 0.587 0.685 1
Mn4 0.113 0.599 0.202 1
Mn5 0.489 0.497 0.993 1
Mn6 0.511 0.481 0.496 1
Mn7 0.611 0.102 0.701 1
Mn8 0.628 0.106 0.213 1
O1 0.051 0.706 0.470 1
O2 0.089 0.904 0.243 1
O3 0.183 0.338 0.242 1
O4 0.212 0.538 0.966 1
O5 0.349 0.171 0.744 1
O6 0.410 0.571 0.737 1
O7 0.540 0.197 0.460 1
O8 0.588 0.401 0.242 1
O9 0.679 0.841 0.245 1
O10 0.715 0.034 0.969 1
O11 0.851 0.667 0.742 1
O12 0.915 0.079 0.746 1
O13 0.940 0.250 0.460 1
F1 0.280 0.947 0.977 1
F2 0.465 0.752 0.475 1
F3 0.762 0.453 0.973 1
```

Principal peaks in the range 2θ from 5° to 70°, low angle first:
| Position (°2θ) | intensity | (hkl) |
| --- | --- | --- |
| 25.0 | 66 | 1 1 0 |
| 26.0 | 55 | 1 1 -2 |
| 30.8 | 99 | 0 2 0 |
| 31.6 | 100 | 2 0 -2 |
| 37.1 | 47 | -1 1 2 |
| 54.7 | 47 | 0 4 -2 |